(1)
This entry pairs a crystal structure of LiMn3O4F2 with its theoretical X-ray powder pattern. Radiation: Cu Kα X-rays. Structure: a structure optimized by DFT (PBE+U).
Neutral-atom scattering factors, no anomalous dispersion.

Structure:
Cell: 4.927 5.274 5.380 Å, 63.22 89.16 63.94°
Element x y z (fractional)
Li 0.000 0.000 0.000
Mn 0.210 0.485 0.823
Mn 0.381 0.096 0.414
Mn 0.715 0.483 0.342
O 0.011 0.291 0.138
O 0.086 0.311 0.625
O 0.358 0.531 0.136
O 0.445 0.655 0.568
F 0.637 0.971 0.102
F 0.783 0.961 0.629

Largest 10 diffraction maxima, in order of rising 2θ, 10° ≤ 2θ ≤ 80°:
hkl 0 0 1, 19.0 deg, intensity 42
hkl 1 0 0, 20.6 deg, intensity 48
hkl 0 1 0, 21.6 deg, intensity 51
hkl 1 1 1, 24.4 deg, intensity 58
hkl 1 0 -1, 24.7 deg, intensity 36
hkl 1 0 1, 31.3 deg, intensity 47
hkl 1 1 -1, 32.6 deg, intensity 57
hkl -1 1 1, 33.4 deg, intensity 100
hkl 1 2 1, 34.3 deg, intensity 37
hkl 2 1 2, 53.1 deg, intensity 36



(2)
This entry pairs a crystal structure of LiMnOF2 with its theoretical X-ray powder pattern. Radiation: Cu Kα X-rays. Structure: a structure optimized by DFT (PBE+U).
Neutral-atom scattering factors, no anomalous dispersion.

Structure:
Cell: 8.901 5.253 12.550 Å, 90.00 130.62 90.00°
Element x y z (fractional)
Li 0.000 0.080 0.000
Li 0.000 0.920 0.500
Li 0.183 0.416 0.502
Li 0.183 0.584 0.002
Li 0.682 0.408 0.697
Li 0.682 0.592 0.197
Li 0.875 0.093 0.210
Li 0.875 0.907 0.710
Mn 0.038 0.400 0.695
Mn 0.038 0.600 0.195
Mn 0.393 0.039 0.420
Mn 0.393 0.961 0.920
Mn 0.498 0.081 0.188
Mn 0.498 0.919 0.688
Mn 0.589 0.398 0.929
Mn 0.589 0.602 0.429
O 0.118 0.109 0.795
O 0.118 0.891 0.295
O 0.401 0.186 0.563
O 0.401 0.814 0.063
O 0.475 0.097 0.822
O 0.475 0.903 0.322
O 0.568 0.232 0.057
O 0.568 0.768 0.557
F 0.051 0.262 0.557
F 0.051 0.738 0.057
F 0.240 0.250 0.073
F 0.240 0.750 0.573
F 0.313 0.386 0.325
F 0.313 0.614 0.825
F 0.612 0.410 0.298
F 0.612 0.590 0.798
F 0.713 0.300 0.558
F 0.713 0.700 0.058
F 0.775 0.071 0.799
F 0.775 0.929 0.299
F 0.904 0.289 0.070
F 0.904 0.711 0.570
F 0.968 0.432 0.301
F 0.968 0.568 0.801

Largest 10 diffraction maxima, in order of rising 2θ, 10° ≤ 2θ ≤ 80°:
hkl 1 0 0, 13.1 deg, intensity 93
hkl 1 0 -2, 14.1 deg, intensity 89
hkl 1 1 0, 21.4 deg, intensity 100
hkl 1 1 -2, 22.1 deg, intensity 84
hkl 2 0 0, 26.3 deg, intensity 91
hkl 2 0 -4, 28.5 deg, intensity 65
hkl 2 1 0, 31.5 deg, intensity 45
hkl 3 1 -1, 38.6 deg, intensity 49
hkl 4 0 -2, 43.7 deg, intensity 63
hkl 3 3 -3, 61.5 deg, intensity 51